Structure and theoretical powder XRD pattern of FeCu2SbO6 (a DFT-relaxed cell (PBE+U, the Materials Project); a wavelength of 1.5418 Å).
Lines closer than 0.1° are merged.

Atomic structure:
```
FeCu2SbO6
1.0
-4.8317 4.8538 4.8586
4.8317 -4.8538 4.8586
4.8317 4.8538 -4.8586
Fe Cu Sb O
4 8 4 24
Direct
0.0391 0.2500 0.2891
0.4609 0.7500 0.2109
0.5391 0.2500 0.7891
0.9609 0.7500 0.7109
0.2213 0.4713 0.7500
0.2500 0.2226 0.9726
0.2500 0.7226 0.4726
0.2787 0.0287 0.2500
0.7213 0.9713 0.7500
0.7500 0.2774 0.5274
0.7500 0.7774 0.0274
0.7787 0.5287 0.2500
0.0000 0.0000 0.5000
0.0000 0.5000 0.0000
0.5000 0.0000 0.0000
0.5000 0.5000 0.5000
0.0287 0.4555 0.2274
0.0369 0.7656 0.4873
0.0685 0.0203 0.2971
0.2217 0.4504 0.9873
0.2232 0.7714 0.2029
0.2281 0.9555 0.9268
0.2719 0.1986 0.7274
0.2768 0.4797 0.5482
0.2783 0.2656 0.2287
0.4315 0.7286 0.9518
0.4631 0.9504 0.7287
0.4713 0.6986 0.4268
0.5287 0.3014 0.5732
0.5369 0.0496 0.2713
0.5685 0.2714 0.0482
0.7217 0.7344 0.7713
0.7232 0.5203 0.4518
0.7281 0.8014 0.2726
0.7719 0.0445 0.0732
0.7768 0.2286 0.7971
0.7783 0.5496 0.0127
0.9315 0.9797 0.7029
0.9631 0.2344 0.5127
0.9713 0.5445 0.7726
```

Top 10 peaks for 2θ from 10° to 80°, most intense first:
- 2θ = 31.98°, I 100.0
- 2θ = 53.51°, I 26.1
- 2θ = 63.57°, I 19.3
- 2θ = 37.02°, I 17.5
- 2θ = 53.36°, I 12.9
- 2θ = 18.27°, I 11.6
- 2θ = 63.84°, I 10.2
- 2θ = 37.22°, I 9.3
- 2θ = 22.46°, I 8.4
- 2θ = 26.01°, I 7.2

---

Structure and theoretical powder XRD pattern of Fe2Cu3Se6O18 (a DFT-relaxed cell (PBE+U, the Materials Project); a wavelength of 1.5418 Å).
Lines closer than 0.1° are merged.

Atomic structure:
```
Fe2Cu3Se6O18
1.0
12.6424 0.0000 0.0000
0.0000 8.3873 0.0000
-0.8088 0.0000 7.6936
Fe Cu Se O
4 6 12 36
Direct
0.1758 0.0052 0.3651
0.1758 0.4948 0.8651
0.8242 0.5052 0.1349
0.8242 0.9948 0.6349
0.3814 0.6270 0.1333
0.3814 0.8730 0.6333
0.5000 0.0000 0.0000
0.5000 0.5000 0.5000
0.6186 0.1270 0.3667
0.6186 0.3730 0.8667
0.0438 0.1986 0.6356
0.0438 0.3014 0.1356
0.2170 0.6002 0.4444
0.2170 0.8998 0.9444
0.3935 0.1909 0.3089
0.3935 0.3091 0.8089
0.6065 0.6909 0.1911
0.6065 0.8091 0.6911
0.7830 0.1002 0.0556
0.7830 0.3998 0.5556
0.9562 0.6986 0.8644
0.9562 0.8014 0.3644
0.0544 0.6159 0.7482
0.0544 0.8841 0.2482
0.1129 0.0278 0.5894
0.1129 0.4722 0.0894
0.1300 0.2300 0.3065
0.1300 0.2700 0.8065
0.2526 0.5155 0.6443
0.2526 0.9845 0.1443
0.2541 0.6973 0.9875
0.2541 0.8027 0.4875
0.3233 0.5325 0.3425
0.3233 0.9675 0.8425
0.3265 0.0970 0.4605
0.3265 0.4030 0.9605
0.4842 0.0415 0.2497
0.4842 0.4585 0.7497
0.4974 0.7312 0.5496
0.4974 0.7688 0.0496
0.5026 0.2312 0.9504
0.5026 0.2688 0.4504
0.5158 0.5415 0.2503
0.5158 0.9585 0.7503
0.6735 0.5970 0.0395
0.6735 0.9030 0.5395
0.6767 0.0325 0.1575
0.6767 0.4675 0.6575
0.7459 0.1973 0.5125
0.7459 0.3027 0.0125
0.7474 0.0155 0.8557
0.7474 0.4845 0.3557
0.8700 0.7300 0.1935
0.8700 0.7700 0.6935
0.8871 0.5278 0.9106
0.8871 0.9722 0.4106
0.9456 0.1159 0.7518
0.9456 0.3841 0.2518
```

Top 10 peaks for 2θ from 10° to 80°, most intense first:
- 2θ = 25.79°, I 100.0
- 2θ = 25.55°, I 72.6
- 2θ = 36.62°, I 50.5
- 2θ = 23.73°, I 41.6
- 2θ = 33.65°, I 34.8
- 2θ = 34.92°, I 33.7
- 2θ = 25.50°, I 28.2
- 2θ = 30.15°, I 23.6
- 2θ = 40.37°, I 22.3
- 2θ = 33.21°, I 19.0

---

Structure and theoretical powder XRD pattern of Fe2Cu3Se6O18 (a DFT-relaxed cell (PBE+U, the Materials Project); a wavelength of 1.5418 Å).
Lines closer than 0.1° are merged.

Atomic structure:
```
Fe2Cu3Se6O18
1.0
5.4844 0.0000 0.0000
0.0000 19.3590 0.0000
-5.1660 0.0000 7.6779
Fe Cu Se O
4 6 12 36
Direct
0.2295 0.1565 0.2619
0.2295 0.3435 0.7619
0.7705 0.6565 0.2381
0.7705 0.8435 0.7381
0.2079 0.0133 0.8233
0.2079 0.4867 0.3233
0.5000 0.0000 0.5000
0.5000 0.5000 0.0000
0.7921 0.5133 0.6767
0.7921 0.9867 0.1767
0.0750 0.6174 0.0264
0.0750 0.8826 0.5264
0.2628 0.5962 0.6413
0.2628 0.9038 0.1413
0.4637 0.7205 0.4396
0.4637 0.7795 0.9396
0.5363 0.2205 0.0604
0.5363 0.2795 0.5604
0.7372 0.0962 0.8587
0.7372 0.4038 0.3587
0.9250 0.1174 0.4736
0.9250 0.3826 0.9736
0.0205 0.5940 0.1890
0.0205 0.9060 0.6890
0.0881 0.7291 0.3408
0.0881 0.7709 0.8408
0.0928 0.1100 0.0284
0.0928 0.3900 0.5284
0.1719 0.0577 0.6246
0.1719 0.4423 0.1246
0.1999 0.5371 0.7630
0.1999 0.9629 0.2630
0.3752 0.5407 0.5394
0.3752 0.9593 0.0394
0.4264 0.1944 0.5078
0.4264 0.3056 0.0078
0.4257 0.5788 0.1106
0.4257 0.9212 0.6106
0.4837 0.7128 0.2587
0.4837 0.7872 0.7587
0.5163 0.2128 0.2413
0.5163 0.2872 0.7413
0.5743 0.0788 0.3894
0.5743 0.4212 0.8894
0.5736 0.6944 0.9922
0.5736 0.8056 0.4922
0.6248 0.0407 0.9606
0.6248 0.4593 0.4606
0.8001 0.0371 0.7370
0.8001 0.4629 0.2370
0.8281 0.5577 0.8754
0.8281 0.9423 0.3754
0.9072 0.6100 0.4716
0.9072 0.8900 0.9716
0.9119 0.2291 0.1592
0.9119 0.2709 0.6592
0.9795 0.0940 0.3110
0.9795 0.4060 0.8110
```

Top 10 peaks for 2θ from 10° to 80°, most intense first:
- 2θ = 27.48°, I 100.0
- 2θ = 21.71°, I 47.7
- 2θ = 27.03°, I 43.2
- 2θ = 26.89°, I 34.7
- 2θ = 31.14°, I 34.7
- 2θ = 34.52°, I 29.5
- 2θ = 56.71°, I 19.5
- 2θ = 32.68°, I 19.1
- 2θ = 36.38°, I 17.3
- 2θ = 34.61°, I 15.9

---

Structure and theoretical powder XRD pattern of Sr3Fe2Cu2Se2O5 (a DFT-relaxed cell (PBE+U, the Materials Project); a wavelength of 1.5418 Å).
Lines closer than 0.1° are merged.

Atomic structure:
```
Sr3Fe2Cu2Se2O5
1.0
2.8348 -2.8346 0.0000
2.8348 2.8346 0.0000
-2.8272 0.0000 13.5768
Sr Fe Cu Se O
3 2 2 2 5
Direct
0.0000 0.0000 0.0000
0.1374 0.1374 0.2749
0.8626 0.8626 0.7251
0.4299 0.4299 0.8598
0.5701 0.5701 0.1402
0.2477 0.7523 0.5000
0.7523 0.2477 0.5000
0.3074 0.3074 0.6126
0.6926 0.6926 0.3874
0.0795 0.5795 0.1589
0.4205 0.9205 0.8411
0.5000 0.5000 0.0000
0.5795 0.0795 0.1589
0.9205 0.4205 0.8411
```

Top 10 peaks for 2θ from 10° to 80°, most intense first:
- 2θ = 32.11°, I 100.0
- 2θ = 45.24°, I 51.2
- 2θ = 37.44°, I 42.0
- 2θ = 56.55°, I 38.5
- 2θ = 31.56°, I 30.8
- 2θ = 57.58°, I 15.8
- 2θ = 65.90°, I 15.4
- 2θ = 34.28°, I 11.7
- 2θ = 43.03°, I 10.7
- 2θ = 73.06°, I 10.2

---

Structure and theoretical powder XRD pattern of Sr2YFeCu2O7 (a DFT-relaxed cell (PBE+U, the Materials Project); a wavelength of 1.5418 Å).
Lines closer than 0.1° are merged.

Atomic structure:
```
Sr2YFeCu2O7
1.0
3.7585 0.0000 0.0000
0.0000 3.8863 0.0000
0.0000 0.0000 11.6040
Sr Y Fe Cu O
2 1 1 2 7
Direct
0.0000 0.0000 0.1879
0.0000 0.0000 0.8121
0.0000 0.0000 0.5000
0.5000 0.5000 0.0000
0.5000 0.5000 0.3521
0.5000 0.5000 0.6479
0.0000 0.5000 0.3764
0.0000 0.5000 0.6236
0.5000 0.0000 0.0000
0.5000 0.0000 0.3723
0.5000 0.0000 0.6277
0.5000 0.5000 0.1623
0.5000 0.5000 0.8377
```

Top 10 peaks for 2θ from 10° to 80°, most intense first:
- 2θ = 33.20°, I 100.0
- 2θ = 32.66°, I 44.8
- 2θ = 58.56°, I 19.3
- 2θ = 46.75°, I 17.1
- 2θ = 59.65°, I 15.7
- 2θ = 58.71°, I 15.7
- 2θ = 48.44°, I 15.3
- 2θ = 38.76°, I 10.5
- 2θ = 46.98°, I 9.3
- 2θ = 69.60°, I 9.3

---

Structure and theoretical powder XRD pattern of Sr4Y2Fe2Cu4O15 (a DFT-relaxed cell (PBE+U, the Materials Project); a wavelength of 1.5418 Å).
Lines closer than 0.1° are merged.

Atomic structure:
```
Sr4Y2Fe2Cu4O15
1.0
0.0000 3.8939 11.3299
3.8492 0.0000 11.3299
3.8492 3.8939 0.0000
Sr Y Fe Cu O
4 2 2 4 15
Direct
0.1538 0.6666 0.3334
0.3334 0.8462 0.1538
0.6666 0.1538 0.8462
0.8462 0.3334 0.6666
0.0000 0.5000 0.5000
0.5000 0.0000 0.0000
0.2431 0.7569 0.7569
0.7569 0.2431 0.2431
0.0779 0.5721 0.9221
0.4279 0.9221 0.5721
0.5721 0.0779 0.4279
0.9221 0.4279 0.0779
0.0000 0.0000 0.0000
0.0000 0.0000 0.5000
0.1803 0.1803 0.8197
0.1858 0.1858 0.3142
0.2111 0.6255 0.7889
0.3070 0.3070 0.6930
0.3142 0.3142 0.1858
0.3745 0.7889 0.6255
0.5000 0.5000 0.0000
0.6255 0.2111 0.3745
0.6858 0.6858 0.8142
0.6930 0.6930 0.3070
0.7889 0.3745 0.2111
0.8142 0.8142 0.6858
0.8197 0.8197 0.1803
```

Top 10 peaks for 2θ from 10° to 80°, most intense first:
- 2θ = 33.23°, I 100.0
- 2θ = 33.04°, I 90.3
- 2θ = 32.71°, I 88.8
- 2θ = 58.47°, I 37.4
- 2θ = 58.84°, I 35.9
- 2θ = 46.65°, I 33.3
- 2θ = 59.47°, I 32.3
- 2θ = 47.23°, I 30.4
- 2θ = 48.19°, I 20.5
- 2θ = 68.56°, I 17.9

---

Structure and theoretical powder XRD pattern of Sr2Y4Fe2Cu2O13 (a DFT-relaxed cell (PBE+U, the Materials Project); a wavelength of 1.5418 Å).
Lines closer than 0.1° are merged.

Atomic structure:
```
Sr2Y4Fe2Cu2O13
1.0
11.5557 -2.7283 0.0000
11.5557 2.7283 0.0000
-4.9516 0.0000 9.5974
Sr Y Fe Cu O
4 8 4 4 26
Direct
0.2071 0.2931 0.1340
0.2931 0.2071 0.6340
0.7069 0.7929 0.3660
0.7929 0.7069 0.8660
0.0215 0.1102 0.9541
0.1102 0.0215 0.4541
0.3942 0.4746 0.3240
0.4746 0.3942 0.8240
0.5254 0.6058 0.1760
0.6058 0.5254 0.6760
0.8898 0.9785 0.5459
0.9785 0.8898 0.0459
0.1212 0.1902 0.2897
0.1902 0.1212 0.7897
0.8098 0.8788 0.2103
0.8788 0.8098 0.7103
0.3194 0.3859 0.4860
0.3859 0.3194 0.9860
0.6141 0.6806 0.0140
0.6806 0.6141 0.5140
0.0627 0.6555 0.3604
0.1039 0.6072 0.1058
0.1391 0.6519 0.6488
0.1490 0.5656 0.8533
0.1904 0.3021 0.3871
0.2499 0.7501 0.2500
0.2499 0.7504 0.5278
0.2496 0.7501 0.9722
0.3021 0.1904 0.8871
0.3445 0.9373 0.1396
0.3481 0.8609 0.8512
0.3928 0.8961 0.3942
0.4344 0.8510 0.6467
0.5656 0.1490 0.3533
0.6072 0.1039 0.6058
0.6519 0.1391 0.1488
0.6555 0.0627 0.8604
0.6979 0.8096 0.1129
0.7504 0.2499 0.0278
0.7501 0.2496 0.4722
0.7501 0.2499 0.7500
0.8096 0.6979 0.6129
0.8510 0.4344 0.1467
0.8609 0.3481 0.3512
0.8961 0.3928 0.8942
0.9373 0.3445 0.6396
```

Top 10 peaks for 2θ from 10° to 80°, most intense first:
- 2θ = 31.80°, I 100.0
- 2θ = 32.03°, I 99.0
- 2θ = 47.37°, I 47.6
- 2θ = 33.18°, I 35.8
- 2θ = 32.83°, I 29.0
- 2θ = 56.02°, I 20.7
- 2θ = 44.09°, I 18.2
- 2θ = 58.70°, I 14.8
- 2θ = 58.10°, I 14.7
- 2θ = 57.97°, I 14.7

---

Structure and theoretical powder XRD pattern of Sr2YFeCu2O7 (a DFT-relaxed cell (PBE+U, the Materials Project); a wavelength of 1.5418 Å).
Lines closer than 0.1° are merged.

Atomic structure:
```
Sr2YFeCu2O7
1.0
-11.6612 2.7623 2.7140
11.6612 -2.7623 2.7140
11.6612 2.7623 -2.7140
Sr Y Fe Cu O
4 2 2 4 14
Direct
0.0161 0.1508 0.1669
0.0161 0.3492 0.3653
0.9839 0.6508 0.6347
0.9839 0.8492 0.8331
0.0034 0.0034 0.0000
0.0034 0.5034 0.5000
0.3958 0.7121 0.1837
0.5284 0.2121 0.8163
0.5034 0.5754 0.0696
0.5034 0.9338 0.4281
0.5058 0.0754 0.5719
0.5058 0.4338 0.9304
0.0053 0.1874 0.6951
0.0048 0.3237 0.8081
0.0048 0.6968 0.1811
0.0053 0.8101 0.3179
0.2122 0.8534 0.8588
0.4831 0.2022 0.6314
0.4831 0.3516 0.7809
0.4922 0.3101 0.3049
0.4922 0.6874 0.6821
0.5156 0.1968 0.1919
0.5156 0.8237 0.8189
0.5707 0.7022 0.2191
0.5707 0.8516 0.3686
0.9946 0.3534 0.1412
```

Top 10 peaks for 2θ from 10° to 80°, most intense first:
- 2θ = 32.64°, I 100.0
- 2θ = 46.93°, I 34.8
- 2θ = 38.65°, I 34.8
- 2θ = 33.00°, I 32.1
- 2θ = 32.41°, I 30.6
- 2θ = 57.98°, I 22.9
- 2θ = 58.71°, I 18.7
- 2θ = 68.40°, I 7.5
- 2θ = 62.01°, I 7.4
- 2θ = 46.74°, I 7.2

---

Q: Which formula does entry 2 have?
A: Fe2Cu3Se6O18